# Mg13Co
Theoretical powder diffractogram, Cu Ka. Input: a DFT-relaxed cell (GGA-PBE, OQMD).
Lines closer than 0.1° are merged.

Structural model:
abc: 12.3793 8.6863 5.6546
angles: 90.00 101.62 90.00
Space group C2/m (No. 12)
Unique sites:
1 Mg 0.0000 0.0000 0.0000 [2 per cell]
2 Mg 0.0763 0.2898 0.3177 [8 per cell]
3 Mg 0.1130 0.5000 0.9174 [4 per cell]
4 Mg 0.1713 0.1715 0.8033 [8 per cell]
5 Mg 0.2146 0.0000 0.3700 [4 per cell]
6 Co 0.0000 0.0000 0.5000 [2 per cell]

Top 10 peaks for 10° ≤ 2θ ≤ 90°, by angle:
hkl 1 1 0, 2θ = 12.54°, d 7.061, intensity 46
hkl 1 1 -1, 2θ = 19.17°, d 4.630, intensity 17
hkl 4 2 0, 2θ = 36.16°, d 2.484, intensity 24
hkl 1 3 1, 2θ = 36.48°, d 2.463, intensity 100
hkl 3 1 -2, 2θ = 36.94°, d 2.434, intensity 51
hkl 4 2 -1, 2θ = 37.12°, d 2.422, intensity 62
hkl 3 3 0, 2θ = 38.24°, d 2.354, intensity 30
hkl 2 0 2, 2θ = 38.36°, d 2.347, intensity 31
hkl 5 1 0, 2θ = 38.55°, d 2.335, intensity 76
hkl 5 3 2, 2θ = 64.55°, d 1.444, intensity 18